Entry 1:
The following is a calculated powder diffraction line list of Dy2H4S3O12. It was derived from a crystal structure in OQMD, relaxed with PBE, using Cu Kα (weighted mean of Kα1 and Kα2).
Intensities are scaled so that the largest is 100.

Most intense lines, 10 to 90 degrees two-theta, low angle first:
14.40 deg, intensity 66.8; 15.74 deg, intensity 100.0; 18.83 deg, intensity 38.0; 19.84 deg, intensity 32.5; 22.29 deg, intensity 36.8; 26.51 deg, intensity 39.6; 27.21 deg, intensity 43.7; 30.98 deg, intensity 56.1; 31.34 deg, intensity 75.3; 31.83 deg, intensity 33.8

Structural model:
```
data_Dy2H4S3O12
_symmetry_space_group_name_H-M 'P 1'
_symmetry_Int_Tables_number 1
_symmetry_space_group_name_Hall 'P 1'
_cell_length_a 6.6838
_cell_length_b 6.6838
_cell_length_c 12.6259
_cell_angle_alpha 101.16
_cell_angle_beta 101.16
_cell_angle_gamma 60.40
loop_
_atom_site_label
_atom_site_type_symbol
_atom_site_fract_x
_atom_site_fract_y
_atom_site_fract_z
Dy1 Dy 0.1812 0.2113 0.1749
Dy2 Dy 0.2113 0.1812 0.6749
Dy3 Dy 0.7887 0.8188 0.3251
Dy4 Dy 0.8188 0.7887 0.8251
H1 H 0.0512 0.8405 0.5824
H2 H 0.1595 0.9488 0.9176
H3 H 0.2944 0.6760 0.6408
H4 H 0.3240 0.7056 0.8592
H5 H 0.6760 0.2944 0.1408
H6 H 0.7056 0.3240 0.3592
H7 H 0.8405 0.0512 0.0824
H8 H 0.9488 0.1595 0.4176
S1 S 0.2568 0.3030 0.4266
S2 S 0.3030 0.2568 0.9266
S3 S 0.3372 0.6628 0.2500
S4 S 0.6628 0.3372 0.7500
S5 S 0.6970 0.7432 0.0734
S6 S 0.7432 0.6970 0.5734
O1 O 0.0382 0.4196 0.3434
O2 O 0.1038 0.4095 0.8451
O3 O 0.1665 0.8004 0.8808
O4 O 0.1697 0.7456 0.3297
O5 O 0.1821 0.1861 0.4928
O6 O 0.1861 0.1821 0.9928
O7 O 0.1996 0.8335 0.6192
O8 O 0.2544 0.8303 0.1703
O9 O 0.3752 0.4325 0.1911
O10 O 0.4095 0.1038 0.3451
O11 O 0.4196 0.0382 0.8434
O12 O 0.4325 0.3752 0.6911
O13 O 0.5675 0.6248 0.3089
O14 O 0.5804 0.9618 0.1566
O15 O 0.5905 0.8962 0.6549
O16 O 0.6248 0.5675 0.8089
O17 O 0.7456 0.1697 0.8297
O18 O 0.8004 0.1665 0.3808
O19 O 0.8139 0.8179 0.0072
O20 O 0.8179 0.8139 0.5072
O21 O 0.8303 0.2544 0.6703
O22 O 0.8335 0.1996 0.1192
O23 O 0.8962 0.5905 0.1549
O24 O 0.9618 0.5804 0.6566
```


Entry 2:
The following is a calculated powder diffraction line list of Dy3Si2H4O9. It was derived from a crystal structure in OQMD, relaxed with PBE, using Cu Kα (weighted mean of Kα1 and Kα2).
Intensities are scaled so that the largest is 100.

Most intense lines, 10 to 90 degrees two-theta, low angle first:
11.38 deg, intensity 100.0; 22.88 deg, intensity 27.3; 32.80 deg, intensity 24.0; 34.82 deg, intensity 61.0; 40.37 deg, intensity 44.1; 48.43 deg, intensity 25.4; 58.28 deg, intensity 15.1; 58.55 deg, intensity 10.3; 59.86 deg, intensity 11.9; 69.96 deg, intensity 8.9

Structural model:
```
data_Dy3Si2H4O9
_symmetry_space_group_name_H-M 'P 1'
_symmetry_Int_Tables_number 1
_symmetry_space_group_name_Hall 'P 1'
_cell_length_a 5.4612
_cell_length_b 5.4612
_cell_length_c 7.7727
_cell_angle_alpha 90.00
_cell_angle_beta 90.00
_cell_angle_gamma 120.00
loop_
_atom_site_label
_atom_site_type_symbol
_atom_site_fract_x
_atom_site_fract_y
_atom_site_fract_z
Dy1 Dy 0.0000 0.3272 0.0000
Dy2 Dy 0.3272 0.0000 0.0000
Dy3 Dy 0.6728 0.6728 0.0000
Si1 Si 0.3333 0.6667 0.6001
Si2 Si 0.6667 0.3333 0.6001
H1 H 0.0000 0.0000 0.6715
H2 H 0.0000 0.6444 0.3076
H3 H 0.3556 0.3556 0.3076
H4 H 0.6444 0.0000 0.3076
O1 O 0.0000 0.0000 0.7978
O2 O 0.0000 0.5069 0.5263
O3 O 0.0000 0.6647 0.1826
O4 O 0.3333 0.6667 0.8066
O5 O 0.3353 0.3353 0.1826
O6 O 0.4931 0.4931 0.5263
O7 O 0.5069 0.0000 0.5263
O8 O 0.6647 0.0000 0.1826
O9 O 0.6667 0.3333 0.8066
```


Entry 3:
The following is a calculated powder diffraction line list of DySiH2O4. It was derived from a crystal structure in OQMD, relaxed with PBE, using Cu Kα (weighted mean of Kα1 and Kα2).
Intensities are scaled so that the largest is 100.

Most intense lines, 10 to 90 degrees two-theta, low angle first:
16.28 deg, intensity 38.5; 19.39 deg, intensity 100.0; 21.19 deg, intensity 65.7; 25.52 deg, intensity 72.6; 27.13 deg, intensity 74.1; 31.90 deg, intensity 46.8; 33.57 deg, intensity 53.5; 35.69 deg, intensity 42.5; 36.01 deg, intensity 58.7; 48.47 deg, intensity 35.0

Structural model:
```
data_DySiH2O4
_symmetry_space_group_name_H-M 'P 1'
_symmetry_Int_Tables_number 1
_symmetry_space_group_name_Hall 'P 1'
_cell_length_a 4.7689
_cell_length_b 6.5736
_cell_length_c 5.6731
_cell_angle_alpha 90.00
_cell_angle_beta 106.29
_cell_angle_gamma 90.00
loop_
_atom_site_label
_atom_site_type_symbol
_atom_site_fract_x
_atom_site_fract_y
_atom_site_fract_z
Dy1 Dy 0.0044 0.2500 0.1545
Dy2 Dy 0.9956 0.7500 0.8455
Si1 Si 0.2815 0.2500 0.7131
Si2 Si 0.7185 0.7500 0.2869
H1 H 0.3427 0.7500 0.4926
H2 H 0.5000 0.0000 0.0000
H3 H 0.5000 0.5000 0.0000
H4 H 0.6573 0.2500 0.5074
O1 O 0.0554 0.7500 0.4759
O2 O 0.2484 0.0504 0.9061
O3 O 0.2484 0.4496 0.9061
O4 O 0.4226 0.2500 0.4669
O5 O 0.5774 0.7500 0.5331
O6 O 0.7516 0.5504 0.0939
O7 O 0.7516 0.9496 0.0939
O8 O 0.9446 0.2500 0.5241
```


Entry 4:
The following is a calculated powder diffraction line list of DySiH2O4. It was derived from a crystal structure in OQMD, relaxed with PBE, using Cu Kα (weighted mean of Kα1 and Kα2).
Intensities are scaled so that the largest is 100.

Most intense lines, 10 to 90 degrees two-theta, low angle first:
16.13 deg, intensity 34.2; 19.52 deg, intensity 100.0; 21.02 deg, intensity 71.5; 25.06 deg, intensity 62.6; 26.91 deg, intensity 69.8; 32.19 deg, intensity 46.6; 33.47 deg, intensity 48.8; 35.16 deg, intensity 57.7; 35.37 deg, intensity 40.1; 49.91 deg, intensity 28.9

Structural model:
```
data_DySiH2O4
_symmetry_space_group_name_H-M 'P 1'
_symmetry_Int_Tables_number 1
_symmetry_space_group_name_Hall 'P 1'
_cell_length_a 4.7886
_cell_length_b 6.6257
_cell_length_c 11.5720
_cell_angle_alpha 90.00
_cell_angle_beta 108.26
_cell_angle_gamma 90.00
loop_
_atom_site_label
_atom_site_type_symbol
_atom_site_fract_x
_atom_site_fract_y
_atom_site_fract_z
Dy1 Dy 0.0158 0.2460 0.3278
Dy2 Dy 0.0158 0.2540 0.8278
Dy3 Dy 0.9842 0.7460 0.1722
Dy4 Dy 0.9842 0.7540 0.6722
Si1 Si 0.2704 0.2346 0.1064
Si2 Si 0.2704 0.2654 0.6064
Si3 Si 0.7296 0.7346 0.3936
Si4 Si 0.7296 0.7654 0.8936
H1 H 0.2944 0.7462 0.4884
H2 H 0.2944 0.7538 0.9884
H3 H 0.4626 0.0149 0.7446
H4 H 0.4626 0.4851 0.2446
H5 H 0.5374 0.5149 0.7554
H6 H 0.5374 0.9851 0.2554
H7 H 0.7056 0.2462 0.0116
H8 H 0.7056 0.2538 0.5116
O1 O 0.0758 0.7358 0.9925
O2 O 0.0758 0.7642 0.4925
O3 O 0.2057 0.0492 0.1973
O4 O 0.2057 0.4508 0.6973
O5 O 0.2485 0.0577 0.7008
O6 O 0.2485 0.4423 0.2008
O7 O 0.4062 0.2330 0.9900
O8 O 0.4062 0.2670 0.4900
O9 O 0.5938 0.7330 0.5100
O10 O 0.5938 0.7670 0.0100
O11 O 0.7515 0.5577 0.7992
O12 O 0.7515 0.9423 0.2992
O13 O 0.7943 0.5492 0.3027
O14 O 0.7943 0.9508 0.8027
O15 O 0.9242 0.2358 0.5075
O16 O 0.9242 0.2642 0.0075
```


Entry 5:
The following is a calculated powder diffraction line list of DySiH2O4. It was derived from a crystal structure in OQMD, relaxed with PBE, using Cu Kα (weighted mean of Kα1 and Kα2).
Intensities are scaled so that the largest is 100.

Most intense lines, 10 to 90 degrees two-theta, low angle first:
18.79 deg, intensity 72.5; 25.09 deg, intensity 100.0; 30.42 deg, intensity 19.6; 32.62 deg, intensity 21.9; 32.97 deg, intensity 43.1; 33.77 deg, intensity 20.5; 34.01 deg, intensity 39.4; 40.72 deg, intensity 25.5; 48.68 deg, intensity 37.0; 50.94 deg, intensity 31.4

Structural model:
```
data_DySiH2O4
_symmetry_space_group_name_H-M 'P 1'
_symmetry_Int_Tables_number 1
_symmetry_space_group_name_Hall 'P 1'
_cell_length_a 6.1791
_cell_length_b 5.7243
_cell_length_c 7.1378
_cell_angle_alpha 56.14
_cell_angle_beta 50.29
_cell_angle_gamma 73.58
loop_
_atom_site_label
_atom_site_type_symbol
_atom_site_fract_x
_atom_site_fract_y
_atom_site_fract_z
Dy1 Dy 0.0000 0.0000 0.0000
Dy2 Dy 0.2500 0.2500 0.2500
Si1 Si 0.5217 0.5217 0.4783
Si2 Si 0.7717 0.7717 0.7283
H1 H 0.1448 0.6134 0.8088
H2 H 0.4412 0.8171 0.1052
H3 H 0.6134 0.1448 0.4329
H4 H 0.8171 0.4412 0.6366
O1 O 0.2614 0.4411 0.8175
O2 O 0.4325 0.7700 0.9886
O3 O 0.4411 0.2614 0.4800
O4 O 0.5067 0.8446 0.2708
O5 O 0.7700 0.4325 0.8089
O6 O 0.8446 0.5067 0.3779
O7 O 0.8721 0.9792 0.4054
O8 O 0.9792 0.8721 0.7433
```


Entry 6:
The following is a calculated powder diffraction line list of Dy2HfIn3Ir2. It was derived from a crystal structure in OQMD, relaxed with PBE, using Cu Kα (weighted mean of Kα1 and Kα2).
Intensities are scaled so that the largest is 100.

Most intense lines, 10 to 90 degrees two-theta, low angle first:
13.39 deg, intensity 32.5; 34.83 deg, intensity 100.0; 35.94 deg, intensity 73.4; 37.47 deg, intensity 72.2; 40.96 deg, intensity 19.1; 44.59 deg, intensity 14.8; 52.42 deg, intensity 16.2; 56.71 deg, intensity 23.6; 65.20 deg, intensity 25.4; 70.62 deg, intensity 15.1

Structural model:
```
data_Dy2HfIn3Ir2
_symmetry_space_group_name_H-M 'P 1'
_symmetry_Int_Tables_number 1
_symmetry_space_group_name_Hall 'P 1'
_cell_length_a 3.4911
_cell_length_b 7.6285
_cell_length_c 7.6285
_cell_angle_alpha 119.89
_cell_angle_beta 90.00
_cell_angle_gamma 90.00
loop_
_atom_site_label
_atom_site_type_symbol
_atom_site_fract_x
_atom_site_fract_y
_atom_site_fract_z
Dy1 Dy 0.0000 0.2097 0.7903
Dy2 Dy 0.0000 0.7903 0.2097
Hf1 Hf 0.0000 0.6383 0.6383
In1 In 0.5000 0.2154 0.4442
In2 In 0.5000 0.4442 0.2154
In3 In 0.5000 0.9730 0.9730
Ir1 Ir 0.5000 0.5482 0.8611
Ir2 Ir 0.5000 0.8611 0.5482
```


Entry 7:
The following is a calculated powder diffraction line list of DyHfZn2In. It was derived from a crystal structure in OQMD, relaxed with PBE, using Cu Kα (weighted mean of Kα1 and Kα2).
Intensities are scaled so that the largest is 100.

Most intense lines, 10 to 90 degrees two-theta, low angle first:
27.79 deg, intensity 30.4; 34.78 deg, intensity 100.0; 37.41 deg, intensity 66.1; 37.85 deg, intensity 65.2; 39.29 deg, intensity 21.6; 41.21 deg, intensity 34.7; 56.15 deg, intensity 13.8; 56.87 deg, intensity 38.9; 69.72 deg, intensity 37.6; 71.98 deg, intensity 13.0

Structural model:
```
data_DyHfZn2In
_symmetry_space_group_name_H-M 'P 1'
_symmetry_Int_Tables_number 1
_symmetry_space_group_name_Hall 'P 1'
_cell_length_a 3.2763
_cell_length_b 7.4067
_cell_length_c 7.4067
_cell_angle_alpha 34.40
_cell_angle_beta 90.00
_cell_angle_gamma 90.00
loop_
_atom_site_label
_atom_site_type_symbol
_atom_site_fract_x
_atom_site_fract_y
_atom_site_fract_z
Dy1 Dy 0.0000 0.0000 0.0000
Hf1 Hf 0.0000 0.2445 0.2445
Zn1 Zn 0.5000 0.4114 0.4114
Zn2 Zn 0.5000 0.8190 0.8190
In1 In 0.5000 0.6257 0.6257
```


Entry 8:
The following is a calculated powder diffraction line list of DyHfNO. It was derived from a crystal structure in OQMD, relaxed with PBE, using Cu Kα (weighted mean of Kα1 and Kα2).
Intensities are scaled so that the largest is 100.

Most intense lines, 10 to 90 degrees two-theta, low angle first:
26.72 deg, intensity 33.3; 27.24 deg, intensity 22.9; 33.06 deg, intensity 100.0; 33.49 deg, intensity 36.6; 38.76 deg, intensity 29.4; 46.86 deg, intensity 16.3; 47.83 deg, intensity 26.7; 58.82 deg, intensity 18.3; 63.19 deg, intensity 22.9; 66.57 deg, intensity 14.1

Structural model:
```
data_DyHfNO
_symmetry_space_group_name_H-M 'P 1'
_symmetry_Int_Tables_number 1
_symmetry_space_group_name_Hall 'P 1'
_cell_length_a 7.7548
_cell_length_b 6.5465
_cell_length_c 4.6462
_cell_angle_alpha 90.00
_cell_angle_beta 90.00
_cell_angle_gamma 90.00
loop_
_atom_site_label
_atom_site_type_symbol
_atom_site_fract_x
_atom_site_fract_y
_atom_site_fract_z
Dy1 Dy 0.1222 0.0540 0.2500
Dy2 Dy 0.1222 0.4460 0.7500
Dy3 Dy 0.8778 0.5540 0.2500
Dy4 Dy 0.8778 0.9460 0.7500
Hf1 Hf 0.3728 0.5953 0.2500
Hf2 Hf 0.3728 0.9047 0.7500
Hf3 Hf 0.6272 0.0953 0.2500
Hf4 Hf 0.6272 0.4047 0.7500
N1 N 0.3991 0.5798 0.7500
N2 N 0.3991 0.9202 0.2500
N3 N 0.6009 0.0798 0.7500
N4 N 0.6009 0.4202 0.2500
O1 O 0.1567 0.0993 0.7500
O2 O 0.1567 0.4007 0.2500
O3 O 0.8433 0.5993 0.7500
O4 O 0.8433 0.9007 0.2500
```


Entry 9:
The following is a calculated powder diffraction line list of DyHo2Hg5. It was derived from a crystal structure in OQMD, relaxed with PBE, using Cu Kα (weighted mean of Kα1 and Kα2).
Intensities are scaled so that the largest is 100.

Most intense lines, 10 to 90 degrees two-theta, low angle first:
34.10 deg, intensity 22.4; 34.89 deg, intensity 100.0; 35.23 deg, intensity 27.1; 49.85 deg, intensity 15.6; 50.49 deg, intensity 8.5; 61.56 deg, intensity 11.3; 62.34 deg, intensity 6.9; 63.03 deg, intensity 27.2; 73.68 deg, intensity 8.5; 84.69 deg, intensity 6.2

Structural model:
```
data_DyHo2Hg5
_symmetry_space_group_name_H-M 'P 1'
_symmetry_Int_Tables_number 1
_symmetry_space_group_name_Hall 'P 1'
_cell_length_a 5.0945
_cell_length_b 6.3806
_cell_length_c 6.3806
_cell_angle_alpha 69.02
_cell_angle_beta 90.00
_cell_angle_gamma 90.00
loop_
_atom_site_label
_atom_site_type_symbol
_atom_site_fract_x
_atom_site_fract_y
_atom_site_fract_z
Dy1 Dy 0.0000 0.0000 0.0000
Ho1 Ho 0.0000 0.5585 0.5585
Ho2 Ho 0.5000 0.2494 0.2494
Hg1 Hg 0.0000 0.0623 0.5034
Hg2 Hg 0.0000 0.5034 0.0623
Hg3 Hg 0.5000 0.2555 0.7412
Hg4 Hg 0.5000 0.7412 0.2555
Hg5 Hg 0.5000 0.7550 0.7550
```


Entry 10:
The following is a calculated powder diffraction line list of DyInHgTe3. It was derived from a crystal structure in OQMD, relaxed with PBE, using Cu Kα (weighted mean of Kα1 and Kα2).
Intensities are scaled so that the largest is 100.

Most intense lines, 10 to 90 degrees two-theta, low angle first:
24.76 deg, intensity 22.8; 27.30 deg, intensity 23.9; 29.01 deg, intensity 100.0; 30.49 deg, intensity 38.0; 31.39 deg, intensity 22.1; 31.51 deg, intensity 21.6; 34.17 deg, intensity 42.2; 39.77 deg, intensity 48.1; 40.41 deg, intensity 33.2; 44.97 deg, intensity 25.1

Structural model:
```
data_DyInHgTe3
_symmetry_space_group_name_H-M 'P 1'
_symmetry_Int_Tables_number 1
_symmetry_space_group_name_Hall 'P 1'
_cell_length_a 13.0693
_cell_length_b 4.5332
_cell_length_c 13.2777
_cell_angle_alpha 90.00
_cell_angle_beta 90.00
_cell_angle_gamma 90.00
loop_
_atom_site_label
_atom_site_type_symbol
_atom_site_fract_x
_atom_site_fract_y
_atom_site_fract_z
Dy1 Dy 0.0347 0.2500 0.1806
Dy2 Dy 0.4653 0.7500 0.6806
Dy3 Dy 0.5347 0.2500 0.3194
Dy4 Dy 0.9653 0.7500 0.8194
In1 In 0.1689 0.2500 0.4961
In2 In 0.3311 0.7500 0.9961
In3 In 0.6689 0.2500 0.0039
In4 In 0.8311 0.7500 0.5039
Hg1 Hg 0.2453 0.7500 0.3057
Hg2 Hg 0.2547 0.2500 0.8057
Hg3 Hg 0.7453 0.7500 0.1943
Hg4 Hg 0.7547 0.2500 0.6943
Te1 Te 0.0289 0.7500 0.3465
Te2 Te 0.0831 0.2500 0.9343
Te3 Te 0.2328 0.7500 0.6680
Te4 Te 0.2672 0.2500 0.1680
Te5 Te 0.4169 0.7500 0.4343
Te6 Te 0.4711 0.2500 0.8465
Te7 Te 0.5289 0.7500 0.1535
Te8 Te 0.5831 0.2500 0.5657
Te9 Te 0.7328 0.7500 0.8320
Te10 Te 0.7672 0.2500 0.3320
Te11 Te 0.9169 0.7500 0.0657
Te12 Te 0.9711 0.2500 0.6535
```


Entry 11:
The following is a calculated powder diffraction line list of Dy2Lu5Hg. It was derived from a crystal structure in OQMD, relaxed with PBE, using Cu Kα (weighted mean of Kα1 and Kα2).
Intensities are scaled so that the largest is 100.

Most intense lines, 10 to 90 degrees two-theta, low angle first:
29.81 deg, intensity 23.8; 32.89 deg, intensity 24.6; 34.15 deg, intensity 100.0; 44.98 deg, intensity 15.6; 52.92 deg, intensity 19.3; 59.53 deg, intensity 20.5; 63.72 deg, intensity 22.1; 64.49 deg, intensity 16.0; 83.68 deg, intensity 7.9; 88.05 deg, intensity 9.4

Structural model:
```
data_Dy2Lu5Hg
_symmetry_space_group_name_H-M 'P 1'
_symmetry_Int_Tables_number 1
_symmetry_space_group_name_Hall 'P 1'
_cell_length_a 5.4467
_cell_length_b 6.9193
_cell_length_c 6.9193
_cell_angle_alpha 60.06
_cell_angle_beta 90.00
_cell_angle_gamma 90.00
loop_
_atom_site_label
_atom_site_type_symbol
_atom_site_fract_x
_atom_site_fract_y
_atom_site_fract_z
Dy1 Dy 0.0000 0.0000 0.0000
Dy2 Dy 0.5000 0.3413 0.3413
Lu1 Lu 0.0000 0.0021 0.5058
Lu2 Lu 0.0000 0.5047 0.5047
Lu3 Lu 0.0000 0.5058 0.0021
Lu4 Lu 0.5000 0.3427 0.8292
Lu5 Lu 0.5000 0.8292 0.3427
Hg1 Hg 0.5000 0.8340 0.8340
```